Structure and calculated powder diffractogram of KRb2CeF8 (a crystal structure in Alexandria, relaxed with PBE; Cu Kα (weighted mean of Kα1 and Kα2)).
Intensities are scaled so that the largest is 100.

Principal peaks in the range 10° ≤ 2θ ≤ 80°, low angle first:
| 2θ (°) | Rel. int. |
| --- | --- |
| 14.58 | 11 |
| 15.90 | 20 |
| 20.02 | 7 |
| 24.86 | 100 |
| 28.46 | 12 |
| 40.69 | 23 |
| 41.39 | 45 |
| 48.27 | 31 |
| 49.48 | 14 |
| 65.93 | 13 |
| 74.53 | 11 |
| 79.51 | 8 |

Structure:
```
data_KRb2CeF8
_chemical_formula_sum 'K1 Rb2 Ce1 F8'
_cell_length_a 7.521
_cell_length_b 7.521
_cell_length_c 7.521
_cell_angle_alpha 130.72
_cell_angle_beta 130.72
_cell_angle_gamma 72.26
_space_group_name_H-M_alt 'P 1'
_space_group_IT_number 1
loop_
_space_group_symop_operation_xyz
'x,y,z'
loop_
_atom_site_label
_atom_site_type_symbol
_atom_site_fract_x
_atom_site_fract_y
_atom_site_fract_z
K1 K 0.000 0.000 0.000
Rb1 Rb 0.250 0.750 0.500
Rb2 Rb 0.500 0.500 0.000
Ce1 Ce 0.750 0.250 0.500
F1 F 0.065 0.145 0.492
F2 F 0.065 0.574 0.921
F3 F 0.426 0.347 0.492
F4 F 0.426 0.935 0.079
F5 F 0.653 0.145 0.079
F6 F 0.653 0.574 0.508
F7 F 0.855 0.347 0.921
F8 F 0.855 0.935 0.508
```